[1]
Simulated X-ray diffraction stick pattern
Compound: CuH6Pd8
Radiation: Cu Ka
Structure: a DFT-relaxed cell (GGA-PBE, Alexandria)
Lines closer than 0.1° are merged.

Top 8 peaks for 10 to 80 degrees two-theta, by angle:
| two_theta | d/Å | I (rel.) |
| --- | --- | --- |
| 38.33 | 2.348 | 1000 |
| 43.97 | 2.059 | 171 |
| 44.63 | 2.030 | 167 |
| 45.05 | 2.012 | 162 |
| 64.77 | 1.439 | 104 |
| 77.03 | 1.238 | 90 |
| 77.97 | 1.225 | 91 |
| 78.59 | 1.217 | 88 |

Structure:
Lattice parameters (Å, degrees): 4.0609 6.3651 6.4991 72.87 89.95 71.52
Space group P-1 (No. 2)
Inequivalent atoms, fractional coordinates:
1 Cu 0.0000 0.0000 0.0000 (multiplicity 1)
2 H 0.0499 0.8791 0.3507 (multiplicity 2)
3 H 0.2894 0.4287 0.6958 (multiplicity 2)
4 H 0.3837 0.2293 0.3066 (multiplicity 2)
5 Pd 0.1111 0.7780 0.6762 (multiplicity 2)
6 Pd 0.2183 0.5634 0.3233 (multiplicity 2)
7 Pd 0.3364 0.3267 0.0001 (multiplicity 2)
8 Pd 0.4452 0.1084 0.6749 (multiplicity 2)

=====

[2]
Simulated X-ray diffraction stick pattern
Compound: CuHPd3
Radiation: Cu Ka
Structure: a DFT-relaxed cell (GGA-PBE, Alexandria)
Lines closer than 0.1° are merged.

Top 8 peaks for 10 to 80 degrees two-theta, by angle:
| two_theta | d/Å | I (rel.) |
| --- | --- | --- |
| 37.31 | 2.410 | 166 |
| 37.53 | 2.396 | 326 |
| 39.06 | 2.306 | 591 |
| 41.75 | 2.164 | 364 |
| 42.23 | 2.140 | 748 |
| 42.82 | 2.112 | 1000 |
| 67.44 | 1.389 | 223 |
| 72.54 | 1.303 | 143 |

Structure:
Lattice parameters (Å, degrees): 9.2280 11.0478 4.8224 90.00 91.78 90.00
Space group C2/c (No. 15)
Inequivalent atoms, fractional coordinates:
1 Cu 0.1215 0.0606 0.0816 (multiplicity 8)
2 H 0.0000 0.2929 0.7500 (multiplicity 4)
3 H 0.0000 0.4262 0.2500 (multiplicity 4)
4 Pd 0.1224 0.1750 0.5791 (multiplicity 8)
5 Pd 0.1279 0.3066 0.0844 (multiplicity 8)
6 Pd 0.1335 0.4371 0.5892 (multiplicity 8)

=====

[3]
Simulated X-ray diffraction stick pattern
Compound: CuH2Pd4
Radiation: Cu Ka
Structure: a DFT-relaxed cell (GGA-PBE, Alexandria)
Lines closer than 0.1° are merged.

Top 8 peaks for 10 to 80 degrees two-theta, by angle:
| two_theta | d/Å | I (rel.) |
| --- | --- | --- |
| 38.70 | 2.327 | 513 |
| 38.82 | 2.320 | 509 |
| 39.04 | 2.307 | 1000 |
| 44.79 | 2.024 | 676 |
| 46.10 | 1.969 | 307 |
| 66.23 | 1.411 | 201 |
| 78.25 | 1.222 | 123 |
| 78.40 | 1.220 | 122 |

Structure:
Lattice parameters (Å, degrees): 4.8700 4.8840 7.5169 84.46 71.22 72.31
Space group P1 (No. 1)
Inequivalent atoms, fractional coordinates:
1 Cu 0.0000 0.0000 0.0000 (multiplicity 1)
2 Cu 0.2921 0.4995 0.4157 (multiplicity 1)
3 H 0.2583 0.3761 0.2119 (multiplicity 1)
4 H 0.7627 0.8765 0.2029 (multiplicity 1)
5 H 0.8330 0.2694 0.7822 (multiplicity 1)
6 H 0.9094 0.7681 0.6352 (multiplicity 1)
7 Pd 0.0877 0.4950 0.8066 (multiplicity 1)
8 Pd 0.1866 0.9950 0.6088 (multiplicity 1)
9 Pd 0.3736 0.9920 0.2096 (multiplicity 1)
10 Pd 0.4830 0.5075 0.0052 (multiplicity 1)
11 Pd 0.5806 0.0068 0.8128 (multiplicity 1)
12 Pd 0.6855 0.5067 0.6027 (multiplicity 1)
13 Pd 0.7800 0.0077 0.4105 (multiplicity 1)
14 Pd 0.8756 0.4923 0.2063 (multiplicity 1)

=====

[4]
Simulated X-ray diffraction stick pattern
Compound: Cu3HPd6
Radiation: Cu Ka
Structure: a DFT-relaxed cell (GGA-PBE, Alexandria)
Lines closer than 0.1° are merged.

Top 8 peaks for 10 to 80 degrees two-theta, by angle:
| two_theta | d/Å | I (rel.) |
| --- | --- | --- |
| 37.57 | 2.394 | 222 |
| 37.86 | 2.377 | 292 |
| 40.10 | 2.248 | 792 |
| 42.66 | 2.119 | 1000 |
| 42.79 | 2.113 | 994 |
| 43.05 | 2.101 | 807 |
| 56.33 | 1.633 | 179 |
| 74.67 | 1.271 | 360 |

Structure:
Lattice parameters (Å, degrees): 7.3272 4.4968 8.2429 90.00 100.32 90.00
Space group P2_1/m (No. 11)
Inequivalent atoms, fractional coordinates:
1 Cu 0.0494 0.2500 0.0942 (multiplicity 2)
2 Cu 0.0645 0.2500 0.7522 (multiplicity 2)
3 Cu 0.2698 0.7500 0.4652 (multiplicity 2)
4 H 0.4833 0.7500 0.1596 (multiplicity 2)
5 Pd 0.0548 0.2500 0.4201 (multiplicity 2)
6 Pd 0.2417 0.7500 0.1374 (multiplicity 2)
7 Pd 0.2711 0.7500 0.7963 (multiplicity 2)
8 Pd 0.3746 0.2500 0.9873 (multiplicity 2)
9 Pd 0.3866 0.2500 0.6404 (multiplicity 2)
10 Pd 0.3897 0.2500 0.3174 (multiplicity 2)

=====

[5]
Simulated X-ray diffraction stick pattern
Compound: CuH2Pd3
Radiation: Cu Ka
Structure: a DFT-relaxed cell (GGA-PBE, Alexandria)
Lines closer than 0.1° are merged.

Top 8 peaks for 10 to 80 degrees two-theta, by angle:
| two_theta | d/Å | I (rel.) |
| --- | --- | --- |
| 31.11 | 2.874 | 280 |
| 37.38 | 2.406 | 731 |
| 39.02 | 2.308 | 867 |
| 39.86 | 2.262 | 929 |
| 39.98 | 2.255 | 563 |
| 40.21 | 2.243 | 1000 |
| 40.64 | 2.220 | 555 |
| 41.92 | 2.155 | 624 |

Structure:
Lattice parameters (Å, degrees): 2.8616 5.5620 8.9750 105.65 90.05 104.26
Space group P-1 (No. 2)
Inequivalent atoms, fractional coordinates:
1 Cu 0.0449 0.0677 0.3790 (multiplicity 2)
2 H 0.2343 0.4680 0.7325 (multiplicity 2)
3 H 0.4143 0.8427 0.0513 (multiplicity 2)
4 Pd 0.1534 0.3027 0.8842 (multiplicity 2)
5 Pd 0.3059 0.6163 0.3972 (multiplicity 2)
6 Pd 0.4005 0.8099 0.8410 (multiplicity 2)

=====

[6]
Simulated X-ray diffraction stick pattern
Compound: CuH5Pd8
Radiation: Cu Ka
Structure: a DFT-relaxed cell (GGA-PBE, Alexandria)
Lines closer than 0.1° are merged.

Top 8 peaks for 10 to 80 degrees two-theta, by angle:
| two_theta | d/Å | I (rel.) |
| --- | --- | --- |
| 38.14 | 2.360 | 390 |
| 38.50 | 2.339 | 112 |
| 39.23 | 2.297 | 516 |
| 39.56 | 2.278 | 336 |
| 39.70 | 2.270 | 306 |
| 40.02 | 2.253 | 1000 |
| 40.92 | 2.205 | 159 |
| 71.70 | 1.316 | 112 |

Structure:
Lattice parameters (Å, degrees): 2.8461 6.9828 7.9159 79.95 88.06 79.04
Space group P1 (No. 1)
Inequivalent atoms, fractional coordinates:
1 Cu 0.0000 0.0000 0.0000 (multiplicity 1)
2 H 0.1422 0.5150 0.6089 (multiplicity 1)
3 H 0.1961 0.5037 0.2328 (multiplicity 1)
4 H 0.5183 0.8518 0.3293 (multiplicity 1)
5 H 0.7081 0.4928 0.9452 (multiplicity 1)
6 H 0.9794 0.1247 0.5589 (multiplicity 1)
7 Pd 0.1302 0.6758 0.8608 (multiplicity 1)
8 Pd 0.2619 0.3484 0.4414 (multiplicity 1)
9 Pd 0.3372 0.3060 0.0929 (multiplicity 1)
10 Pd 0.5200 0.0108 0.6965 (multiplicity 1)
11 Pd 0.5684 0.6850 0.5384 (multiplicity 1)
12 Pd 0.6203 0.6815 0.1762 (multiplicity 1)
13 Pd 0.8351 0.3361 0.7764 (multiplicity 1)
14 Pd 0.9409 0.0204 0.3359 (multiplicity 1)

=====

[7]
Simulated X-ray diffraction stick pattern
Compound: Cu2H5Pd3
Radiation: Cu Ka
Structure: a DFT-relaxed cell (GGA-PBE, Alexandria)
Lines closer than 0.1° are merged.

Top 8 peaks for 10 to 80 degrees two-theta, by angle:
| two_theta | d/Å | I (rel.) |
| --- | --- | --- |
| 32.06 | 2.792 | 255 |
| 36.01 | 2.494 | 666 |
| 37.56 | 2.395 | 564 |
| 38.97 | 2.311 | 1000 |
| 42.61 | 2.122 | 429 |
| 51.32 | 1.780 | 250 |
| 57.00 | 1.616 | 247 |
| 66.71 | 1.402 | 192 |

Structure:
Lattice parameters (Å, degrees): 4.9885 13.0413 5.5835 90.00 90.00 90.00
Space group Ibam (No. 72)
Inequivalent atoms, fractional coordinates:
1 Cu 0.0154 0.1956 0.0000 (multiplicity 8)
2 H 0.0000 0.2988 0.2500 (multiplicity 8)
3 H 0.0000 0.5000 0.2500 (multiplicity 4)
4 H 0.1245 0.0767 0.5000 (multiplicity 8)
5 Pd 0.0000 0.0000 0.2500 (multiplicity 4)
6 Pd 0.0046 0.3926 0.0000 (multiplicity 8)

=====

[8]
Simulated X-ray diffraction stick pattern
Compound: CuHPd3
Radiation: Cu Ka
Structure: a DFT-relaxed cell (GGA-PBE, Alexandria)
Lines closer than 0.1° are merged.

Top 8 peaks for 10 to 80 degrees two-theta, by angle:
| two_theta | d/Å | I (rel.) |
| --- | --- | --- |
| 22.55 | 3.943 | 12 |
| 24.58 | 3.621 | 11 |
| 29.35 | 3.043 | 12 |
| 39.53 | 2.280 | 1000 |
| 45.93 | 1.976 | 326 |
| 46.04 | 1.971 | 162 |
| 66.87 | 1.399 | 50 |
| 67.07 | 1.395 | 251 |

Structure:
Lattice parameters (Å, degrees): 9.6676 5.5806 4.8355 90.00 109.27 90.00
Space group Cm (No. 8)
Inequivalent atoms, fractional coordinates:
1 Cu 0.0000 0.0000 0.0000 (multiplicity 2)
2 Cu 0.2479 0.0000 0.5037 (multiplicity 2)
3 H 0.1303 0.5000 0.7566 (multiplicity 2)
4 H 0.3763 0.0000 0.2358 (multiplicity 2)
5 Pd 0.0026 0.2426 0.4970 (multiplicity 4)
6 Pd 0.2486 0.2461 0.0078 (multiplicity 4)
7 Pd 0.2566 0.5000 0.5127 (multiplicity 2)
8 Pd 0.4977 0.0000 0.9922 (multiplicity 2)

=====

[9]
Simulated X-ray diffraction stick pattern
Compound: CuH2PdPt
Radiation: Cu Ka
Structure: a DFT-relaxed cell (GGA-PBE, Alexandria)
Lines closer than 0.1° are merged.

Top 8 peaks for 10 to 80 degrees two-theta, by angle:
| two_theta | d/Å | I (rel.) |
| --- | --- | --- |
| 30.54 | 2.927 | 280 |
| 33.00 | 2.714 | 128 |
| 38.69 | 2.327 | 1000 |
| 42.04 | 2.149 | 450 |
| 54.46 | 1.685 | 133 |
| 60.97 | 1.520 | 151 |
| 67.69 | 1.384 | 120 |
| 74.58 | 1.272 | 285 |

Structure:
Lattice parameters (Å, degrees): 3.0393 3.0393 10.8576 90.00 90.00 90.00
Space group I4mm (No. 107)
Inequivalent atoms, fractional coordinates:
1 Cu 0.0000 0.0000 0.0000 (multiplicity 2)
2 H 0.0000 0.5000 0.2420 (multiplicity 4)
3 Pd 0.0000 0.0000 0.3568 (multiplicity 2)
4 Pt 0.0000 0.0000 0.6445 (multiplicity 2)

=====

[10]
Simulated X-ray diffraction stick pattern
Compound: Cu2H8PdRh3
Radiation: Cu Ka
Structure: a DFT-relaxed cell (GGA-PBE, Alexandria)
Lines closer than 0.1° are merged.

Top 8 peaks for 10 to 80 degrees two-theta, by angle:
| two_theta | d/Å | I (rel.) |
| --- | --- | --- |
| 33.89 | 2.645 | 382 |
| 37.38 | 2.406 | 1000 |
| 38.38 | 2.345 | 934 |
| 39.46 | 2.284 | 961 |
| 40.32 | 2.237 | 628 |
| 62.25 | 1.491 | 335 |
| 66.02 | 1.415 | 395 |
| 71.31 | 1.323 | 278 |

Structure:
Lattice parameters (Å, degrees): 5.6605 5.6605 12.5678 90.00 90.00 120.00
Space group R3m (No. 160, hexagonal axes)
Inequivalent atoms, fractional coordinates:
1 Cu 0.0000 0.0000 0.0000 (multiplicity 3)
2 Cu 0.0000 0.0000 0.3867 (multiplicity 3)
3 H 0.0000 0.0000 0.2414 (multiplicity 3)
4 H 0.0000 0.0000 0.7589 (multiplicity 3)
5 H 0.0233 0.5116 0.7647 (multiplicity 9)
6 H 0.1805 0.3611 0.5749 (multiplicity 9)
7 Pd 0.0000 0.0000 0.6126 (multiplicity 3)
8 Rh 0.9996 0.4998 0.4996 (multiplicity 9)

=====

[11]
Simulated X-ray diffraction stick pattern
Compound: Sr2CuH6Pd
Radiation: Cu Ka
Structure: a DFT-relaxed cell (GGA-PBE, Alexandria)
Lines closer than 0.1° are merged.

Top 8 peaks for 10 to 80 degrees two-theta, by angle:
| two_theta | d/Å | I (rel.) |
| --- | --- | --- |
| 32.85 | 2.726 | 1000 |
| 33.85 | 2.648 | 461 |
| 45.63 | 1.988 | 103 |
| 48.62 | 1.873 | 171 |
| 58.01 | 1.590 | 190 |
| 59.93 | 1.544 | 344 |
| 68.88 | 1.363 | 115 |
| 76.20 | 1.249 | 84 |

Structure:
Lattice parameters (Å, degrees): 7.4958 7.4851 5.4628 90.00 133.29 90.00
Space group C2/m (No. 12)
Inequivalent atoms, fractional coordinates:
1 Sr 0.0000 0.2495 0.0000 (multiplicity 4)
2 Cu 0.0000 0.0000 0.5000 (multiplicity 2)
3 H 0.0000 0.2538 0.5000 (multiplicity 4)
4 H 0.2217 0.0000 0.9456 (multiplicity 4)
5 H 0.2452 0.5000 0.4987 (multiplicity 4)
6 Pd 0.0000 0.5000 0.5000 (multiplicity 2)

=====

[12]
Simulated X-ray diffraction stick pattern
Compound: ThCuH6Pd
Radiation: Cu Ka
Structure: a DFT-relaxed cell (GGA-PBE, Alexandria)
Lines closer than 0.1° are merged.

Top 8 peaks for 10 to 80 degrees two-theta, by angle:
| two_theta | d/Å | I (rel.) |
| --- | --- | --- |
| 22.54 | 3.944 | 186 |
| 30.40 | 2.940 | 1000 |
| 39.58 | 2.277 | 399 |
| 40.92 | 2.205 | 119 |
| 50.71 | 1.800 | 247 |
| 58.24 | 1.584 | 262 |
| 66.17 | 1.412 | 220 |
| 68.06 | 1.378 | 102 |

Structure:
Lattice parameters (Å, degrees): 4.5541 4.5541 4.4105 90.00 90.00 120.00
Space group P-6m2 (No. 187)
Inequivalent atoms, fractional coordinates:
1 Th 0.0000 0.0000 0.0000 (multiplicity 1)
2 Cu 0.3333 0.6667 0.5000 (multiplicity 1)
3 H 0.0103 0.5051 0.2158 (multiplicity 6)
4 Pd 0.6667 0.3333 0.5000 (multiplicity 1)

=====

[13]
Simulated X-ray diffraction stick pattern
Compound: Tm2CuHPd6
Radiation: Cu Ka
Structure: a DFT-relaxed cell (GGA-PBE, Alexandria)
Lines closer than 0.1° are merged.

Top 8 peaks for 10 to 80 degrees two-theta, by angle:
| two_theta | d/Å | I (rel.) |
| --- | --- | --- |
| 30.19 | 2.961 | 566 |
| 31.18 | 2.869 | 304 |
| 37.68 | 2.387 | 1000 |
| 37.93 | 2.372 | 652 |
| 38.91 | 2.315 | 543 |
| 40.33 | 2.236 | 456 |
| 41.89 | 2.156 | 616 |
| 42.01 | 2.151 | 601 |

Structure:
Lattice parameters (Å, degrees): 5.5897 5.6129 6.7095 66.41 66.00 61.81
Space group P-1 (No. 2)
Inequivalent atoms, fractional coordinates:
1 Tm 0.2417 0.2486 0.3199 (multiplicity 2)
2 Cu 0.5000 0.5000 0.5000 (multiplicity 1)
3 H 0.0000 0.0000 0.0000 (multiplicity 1)
4 Pd 0.2023 0.6886 0.8393 (multiplicity 2)
5 Pd 0.2210 0.2125 0.7703 (multiplicity 2)
6 Pd 0.3014 0.8026 0.1683 (multiplicity 2)